# U2Co2Sn
Theoretical powder diffractogram, Cu Kα (weighted mean of Kα1 and Kα2). Input: a structure optimized by DFT (GGA-PBE).
Peak positions follow from Bragg's law for the DFT cell and can differ from measured ones.

Main lines, low angle first (15° ≤ 2θ ≤ 90°):
3.289 Å, rel. 39.1
2.838 Å, rel. 14.7
2.600 Å, rel. 9.2
2.491 Å, rel. 33.0
2.360 Å, rel. 100.0
2.326 Å, rel. 44.8
1.784 Å, rel. 11.2
1.693 Å, rel. 11.9
1.578 Å, rel. 19.8
1.543 Å, rel. 18.3
1.369 Å, rel. 17.2
1.267 Å, rel. 16.0

```
data_U2Co2Sn
_cell_length_a 7.355
_cell_length_b 7.355
_cell_length_c 3.387
_cell_angle_alpha 90.00
_cell_angle_beta 90.00
_cell_angle_gamma 90.00
_symmetry_space_group_name_H-M 'P 1'
_symmetry_Int_Tables_number 1
loop_
_symmetry_equiv_pos_as_xyz
'x,y,z'
loop_
_atom_site_label
_atom_site_fract_x
_atom_site_fract_y
_atom_site_fract_z
U1 0.165 0.335 0.000
U2 0.335 0.835 0.000
U3 0.665 0.165 0.000
U4 0.835 0.665 0.000
Co1 0.135 0.635 0.500
Co2 0.365 0.135 0.500
Co3 0.635 0.865 0.500
Co4 0.865 0.365 0.500
Sn1 0.000 0.000 0.500
Sn2 0.500 0.500 0.500
```

=====

# YCoSn
Theoretical powder diffractogram, Cu Kα (weighted mean of Kα1 and Kα2). Input: a structure optimized by DFT (GGA-PBE).
Peak positions follow from Bragg's law for the DFT cell and can differ from measured ones.

Main lines, low angle first (15° ≤ 2θ ≤ 90°):
3.333 Å, rel. 16.5
2.685 Å, rel. 54.8
2.634 Å, rel. 100.0
2.596 Å, rel. 33.6
2.278 Å, rel. 37.7
2.266 Å, rel. 50.8
2.195 Å, rel. 67.6
1.873 Å, rel. 16.7
1.707 Å, rel. 18.6
1.607 Å, rel. 25.1
1.406 Å, rel. 27.6
1.285 Å, rel. 17.1

```
data_YCoSn
_cell_length_a 7.169
_cell_length_b 4.533
_cell_length_c 7.528
_cell_angle_alpha 90.00
_cell_angle_beta 90.00
_cell_angle_gamma 90.00
_symmetry_space_group_name_H-M 'P 1'
_symmetry_Int_Tables_number 1
loop_
_symmetry_equiv_pos_as_xyz
'x,y,z'
loop_
_atom_site_label
_atom_site_fract_x
_atom_site_fract_y
_atom_site_fract_z
Y1 0.018 0.250 0.201
Y2 0.482 0.750 0.701
Y3 0.518 0.250 0.299
Y4 0.982 0.750 0.799
Co1 0.180 0.750 0.424
Co2 0.320 0.250 0.924
Co3 0.680 0.750 0.076
Co4 0.820 0.250 0.576
Sn1 0.195 0.250 0.595
Sn2 0.305 0.750 0.095
Sn3 0.695 0.250 0.905
Sn4 0.805 0.750 0.405
```

=====

# Y3Co6Sn5
Theoretical powder diffractogram, Cu Kα (weighted mean of Kα1 and Kα2). Input: a structure optimized by DFT (GGA-PBE).
Peak positions follow from Bragg's law for the DFT cell and can differ from measured ones.

Main lines, low angle first (15° ≤ 2θ ≤ 90°):
2.975 Å, rel. 80.6
2.600 Å, rel. 18.9
2.582 Å, rel. 56.5
2.536 Å, rel. 100.0
2.382 Å, rel. 61.1
2.155 Å, rel. 65.0
2.141 Å, rel. 36.4
2.079 Å, rel. 25.1
2.056 Å, rel. 22.2
1.958 Å, rel. 53.8
1.643 Å, rel. 31.8
1.418 Å, rel. 32.7

```
data_Y3Co6Sn5
_cell_length_a 8.129
_cell_length_b 8.129
_cell_length_c 8.129
_cell_angle_alpha 149.25
_cell_angle_beta 106.96
_cell_angle_gamma 81.31
_symmetry_space_group_name_H-M 'P 1'
_symmetry_Int_Tables_number 1
loop_
_symmetry_equiv_pos_as_xyz
'x,y,z'
loop_
_atom_site_label
_atom_site_fract_x
_atom_site_fract_y
_atom_site_fract_z
Y1 0.000 0.000 0.000
Y2 0.317 0.317 0.000
Y3 0.683 0.683 0.000
Co1 0.167 0.893 0.274
Co2 0.303 0.500 0.803
Co3 0.381 0.107 0.274
Co4 0.619 0.893 0.726
Co5 0.697 0.500 0.197
Co6 0.833 0.107 0.726
Sn1 0.018 0.677 0.341
Sn2 0.335 0.677 0.659
Sn3 0.500 0.000 0.500
Sn4 0.665 0.323 0.341
Sn5 0.982 0.323 0.659
```

=====

# Y3Co8Sn4
Theoretical powder diffractogram, Cu Kα (weighted mean of Kα1 and Kα2). Input: a structure optimized by DFT (GGA-PBE).
Peak positions follow from Bragg's law for the DFT cell and can differ from measured ones.

Main lines, low angle first (15° ≤ 2θ ≤ 90°):
3.430 Å, rel. 26.8
2.720 Å, rel. 24.2
2.682 Å, rel. 75.3
2.435 Å, rel. 33.6
2.364 Å, rel. 38.7
2.299 Å, rel. 23.5
2.231 Å, rel. 100.0
2.089 Å, rel. 27.5
1.914 Å, rel. 29.6
1.892 Å, rel. 18.9
1.443 Å, rel. 32.0
1.289 Å, rel. 14.6

```
data_Y3Co8Sn4
_cell_length_a 8.925
_cell_length_b 8.925
_cell_length_c 7.448
_cell_angle_alpha 90.00
_cell_angle_beta 90.00
_cell_angle_gamma 120.00
_symmetry_space_group_name_H-M 'P 1'
_symmetry_Int_Tables_number 1
loop_
_symmetry_equiv_pos_as_xyz
'x,y,z'
loop_
_atom_site_label
_atom_site_fract_x
_atom_site_fract_y
_atom_site_fract_z
Y1 0.057 0.529 0.000
Y2 0.471 0.529 0.000
Y3 0.471 0.943 0.000
Y4 0.529 0.057 0.500
Y5 0.529 0.471 0.500
Y6 0.943 0.471 0.500
Co1 0.000 0.000 0.221
Co2 0.000 0.000 0.721
Co3 0.097 0.195 0.976
Co4 0.097 0.903 0.976
Co5 0.159 0.318 0.669
Co6 0.159 0.841 0.669
Co7 0.195 0.097 0.476
Co8 0.318 0.159 0.169
Co9 0.333 0.667 0.295
Co10 0.667 0.333 0.795
Co11 0.682 0.841 0.669
Co12 0.805 0.903 0.976
Co13 0.841 0.159 0.169
Co14 0.841 0.682 0.169
Co15 0.903 0.097 0.476
Co16 0.903 0.805 0.476
Sn1 0.171 0.343 0.295
Sn2 0.171 0.829 0.295
Sn3 0.333 0.667 0.668
Sn4 0.343 0.171 0.795
Sn5 0.657 0.829 0.295
Sn6 0.667 0.333 0.168
Sn7 0.829 0.171 0.795
Sn8 0.829 0.657 0.795
```